Starting from a structure optimized by DFT (GGA-PBE), the PXRD pattern of Rb7SiSe6 was simulated for λ = 1.5418 Å (Cu Kα).
Intensities are scaled so that the largest is 100.

Principal peaks in the range 2θ from 10° to 80°, low angle first:
d/Å  2theta  I_rel
3.865  23.01  57
3.481  25.59  41
3.294  27.07  100
3.061  29.18  35
2.873  31.13  90
2.762  32.41  39

Structural model:
```
28
Lattice="-4.4064 7.2395 9.1421 4.4064 -7.2395 9.1421 4.4064 7.2395 -9.1421" Properties=species:S:1:pos:R:3 pbc="T T T"
Rb 2.1279 0.6808 0.0000
Rb 5.8105 2.9770 -2.4191
Rb 1.4040 4.2625 -2.4191
Rb 0.0000 0.0000 4.5710
Rb 5.8105 2.9770 2.4191
Rb 1.4040 4.2625 2.4191
Rb 2.1279 -0.6808 9.1421
Rb 2.2785 7.9203 0.0000
Rb 3.0024 2.9770 6.7230
Rb -1.4040 4.2625 6.7230
Rb 0.0000 0.0000 13.7131
Rb 3.0024 2.9770 11.5612
Rb -1.4040 4.2625 11.5612
Rb 2.2785 6.5587 9.1421
Si 4.4064 0.0000 4.5710
Si 0.0000 7.2395 4.5710
Se 5.8238 -1.3012 3.3002
Se 3.7688 -4.6792 9.1421
Se 2.9891 -1.3012 5.8419
Se 2.9891 1.3012 3.3002
Se 3.7688 4.6792 0.0000
Se 5.8238 1.3012 5.8419
Se -1.4174 5.9383 3.3002
Se 0.6377 2.5603 9.1421
Se 1.4174 5.9383 5.8419
Se 1.4174 8.5407 3.3002
Se 0.6377 11.9187 0.0000
Se -1.4174 8.5407 5.8419
```

Starting from a structure optimized by DFT (GGA-PBE), the PXRD pattern of Tl3B3Se10 was simulated for λ = 1.5418 Å (Cu Kα).
Intensities are scaled so that the largest is 100.

Principal peaks in the range 2θ from 10° to 80°, low angle first:
d/Å  2theta  I_rel
3.558  25.02  31
3.226  27.65  40
3.196  27.91  25
3.143  28.40  24
3.096  28.84  100
3.006  29.72  36

Structural model:
```
32
Lattice="7.3778 0.0000 0.0000 -0.6071 8.3734 0.0000 -1.0917 -3.7342 14.3204" Properties=species:S:1:pos:R:3 pbc="T T T"
Tl -0.2622 0.4119 2.9126
Tl 0.8902 0.4120 12.0244
Tl 1.6233 -0.1842 6.8855
Tl 4.0557 4.8233 7.4350
Tl 4.7887 4.2271 2.2961
Tl 5.9411 4.2273 11.4078
B -0.0334 3.6757 5.9716
B 1.1960 5.1824 3.4674
B 1.9852 7.3679 1.2758
B 3.6938 -2.7287 13.0447
B 4.4829 -0.5433 10.8531
B 5.7123 0.9634 8.3489
Se -0.3528 5.3921 4.8542
Se -0.0123 1.9866 9.0081
Se -0.0299 4.1868 7.9554
Se 0.5972 5.8619 1.6101
Se 1.6072 0.4531 0.1903
Se 1.6912 3.1917 3.2229
Se 1.7991 2.8240 5.5900
Se 3.1986 -0.1656 3.0459
Se 2.2926 -1.6784 14.1131
Se 2.7521 -1.4807 10.1849
Se 2.9268 6.1199 4.1355
Se 3.3864 6.3175 0.2073
Se 2.4804 4.8048 11.2746
Se 3.8799 1.8152 8.7305
Se 3.9878 1.4474 11.0975
Se 4.0718 4.1860 14.1301
Se 5.0817 -1.2227 12.7103
Se 5.7089 0.4524 6.3650
Se 5.6912 2.6525 5.3123
Se 6.0318 -0.7529 9.4662
```

Please write out number 2 again, unchanged.
Starting from a structure optimized by DFT (GGA-PBE), the PXRD pattern of Tl3B3Se10 was simulated for λ = 1.5418 Å (Cu Kα).
Intensities are scaled so that the largest is 100.

Principal peaks in the range 2θ from 10° to 80°, low angle first:
d/Å  2theta  I_rel
3.558  25.02  31
3.226  27.65  40
3.196  27.91  25
3.143  28.40  24
3.096  28.84  100
3.006  29.72  36

Structural model:
```
32
Lattice="7.3778 0.0000 0.0000 -0.6071 8.3734 0.0000 -1.0917 -3.7342 14.3204" Properties=species:S:1:pos:R:3 pbc="T T T"
Tl -0.2622 0.4119 2.9126
Tl 0.8902 0.4120 12.0244
Tl 1.6233 -0.1842 6.8855
Tl 4.0557 4.8233 7.4350
Tl 4.7887 4.2271 2.2961
Tl 5.9411 4.2273 11.4078
B -0.0334 3.6757 5.9716
B 1.1960 5.1824 3.4674
B 1.9852 7.3679 1.2758
B 3.6938 -2.7287 13.0447
B 4.4829 -0.5433 10.8531
B 5.7123 0.9634 8.3489
Se -0.3528 5.3921 4.8542
Se -0.0123 1.9866 9.0081
Se -0.0299 4.1868 7.9554
Se 0.5972 5.8619 1.6101
Se 1.6072 0.4531 0.1903
Se 1.6912 3.1917 3.2229
Se 1.7991 2.8240 5.5900
Se 3.1986 -0.1656 3.0459
Se 2.2926 -1.6784 14.1131
Se 2.7521 -1.4807 10.1849
Se 2.9268 6.1199 4.1355
Se 3.3864 6.3175 0.2073
Se 2.4804 4.8048 11.2746
Se 3.8799 1.8152 8.7305
Se 3.9878 1.4474 11.0975
Se 4.0718 4.1860 14.1301
Se 5.0817 -1.2227 12.7103
Se 5.7089 0.4524 6.3650
Se 5.6912 2.6525 5.3123
Se 6.0318 -0.7529 9.4662
```